1.
Starting from a crystal structure in Alexandria, relaxed with PBE, the X-ray powder pattern of CaAc2Ge3Au4 was calculated for Cu Ka.
Intensities are scaled so that the largest is 100.

Most intense lines, 2θ from 5° to 70°, by angle:
- 2θ 7.66, I 29
- 2θ 24.86, I 24
- 2θ 30.37, I 34
- 2θ 31.75, I 100
- 2θ 36.83, I 18
- 2θ 39.46, I 56
- 2θ 41.98, I 18
- 2θ 43.93, I 22
- 2θ 57.04, I 19
- 2θ 66.77, I 27

Structure:
a = 4.567 Å, b = 4.567 Å, c = 11.548 Å
α = 90.00°, β = 90.00°, γ = 90.00°
Sites, in units of the cell vectors:
Ca (0.000, 0.000, 0.000)
Ac (0.000, 0.500, 0.720)
Ac (0.500, 0.000, 0.280)
Ge (0.000, 0.500, 0.374)
Ge (0.500, 0.000, 0.626)
Ge (0.500, 0.500, 0.000)
Au (0.000, 0.000, 0.500)
Au (0.000, 0.500, 0.152)
Au (0.500, 0.000, 0.848)
Au (0.500, 0.500, 0.500)

***

2.
Starting from a crystal structure in Alexandria, relaxed with PBE, the X-ray powder pattern of Cs5SiS4 was calculated for Cu Ka.
Intensities are scaled so that the largest is 100.

Most intense lines, 2θ from 5° to 70°, by angle:
- 2θ 18.29, I 34
- 2θ 21.82, I 54
- 2θ 22.86, I 63
- 2θ 24.63, I 62
- 2θ 26.98, I 100
- 2θ 28.61, I 68
- 2θ 32.80, I 45
- 2θ 33.13, I 50
- 2θ 46.45, I 36
- 2θ 47.24, I 34

Structure:
a = 9.699 Å, b = 10.846 Å, c = 8.147 Å
α = 90.00°, β = 90.00°, γ = 90.00°
Sites, in units of the cell vectors:
Cs (0.001, 0.062, 0.230)
Cs (0.001, 0.438, 0.230)
Cs (0.250, 0.250, 0.642)
Cs (0.499, 0.062, 0.230)
Cs (0.499, 0.438, 0.230)
Cs (0.501, 0.562, 0.770)
Cs (0.501, 0.938, 0.770)
Cs (0.750, 0.750, 0.358)
Cs (0.999, 0.562, 0.770)
Cs (0.999, 0.938, 0.770)
Si (0.250, 0.750, 0.307)
Si (0.750, 0.250, 0.693)
S (0.067, 0.750, 0.154)
S (0.250, 0.587, 0.463)
S (0.250, 0.913, 0.463)
S (0.433, 0.750, 0.154)
S (0.567, 0.250, 0.846)
S (0.750, 0.087, 0.537)
S (0.750, 0.413, 0.537)
S (0.933, 0.250, 0.846)

***

3.
Starting from a crystal structure in Alexandria, relaxed with PBE, the X-ray powder pattern of CrInGaCl6 was calculated for Cu Ka.
Intensities are scaled so that the largest is 100.

Most intense lines, 2θ from 5° to 70°, by angle:
- 2θ 12.56, I 33
- 2θ 19.61, I 100
- 2θ 20.53, I 91
- 2θ 20.75, I 98
- 2θ 30.67, I 33
- 2θ 36.01, I 51
- 2θ 37.71, I 27
- 2θ 38.73, I 92
- 2θ 48.03, I 43
- 2θ 59.35, I 29

Structure:
a = 6.345 Å, b = 6.345 Å, c = 7.057 Å
α = 91.65°, β = 91.65°, γ = 116.28°
Sites, in units of the cell vectors:
Cr (0.000, 0.000, 0.000)
In (0.669, 0.331, 0.500)
Ga (0.342, 0.658, 0.000)
Cl (0.039, 0.345, 0.178)
Cl (0.044, 0.713, 0.802)
Cl (0.287, 0.956, 0.198)
Cl (0.317, 0.362, 0.787)
Cl (0.638, 0.683, 0.213)
Cl (0.655, 0.961, 0.822)

***

4.
Starting from a crystal structure in Alexandria, relaxed with PBE, the X-ray powder pattern of Nd6InSn2 was calculated for Cu Ka.
Intensities are scaled so that the largest is 100.

Most intense lines, 2θ from 5° to 70°, by angle:
- 2θ 28.89, I 100
- 2θ 31.30, I 76
- 2θ 31.51, I 39
- 2θ 35.87, I 48
- 2θ 37.69, I 23
- 2θ 40.97, I 24
- 2θ 52.59, I 19
- 2θ 55.57, I 28
- 2θ 57.42, I 35
- 2θ 65.66, I 12

Structure:
a = 8.674 Å, b = 8.674 Å, c = 4.405 Å
α = 90.00°, β = 90.00°, γ = 120.00°
Sites, in units of the cell vectors:
Nd (0.000, 0.403, 0.000)
Nd (0.000, 0.728, 0.500)
Nd (0.272, 0.272, 0.500)
Nd (0.403, 0.000, 0.000)
Nd (0.597, 0.597, 0.000)
Nd (0.728, 0.000, 0.500)
In (0.000, 0.000, 0.000)
Sn (0.333, 0.667, 0.500)
Sn (0.667, 0.333, 0.500)

***

5.
Starting from a crystal structure in Alexandria, relaxed with PBE, the X-ray powder pattern of Li3Ac3BiO8 was calculated for Cu Ka.
Intensities are scaled so that the largest is 100.

Most intense lines, 2θ from 5° to 70°, by angle:
- 2θ 21.69, I 55
- 2θ 27.17, I 100
- 2θ 30.00, I 61
- 2θ 39.46, I 34
- 2θ 39.56, I 17
- 2θ 45.50, I 26
- 2θ 46.17, I 32
- 2θ 51.52, I 24
- 2θ 54.39, I 15
- 2θ 66.77, I 16

Structure:
a = 6.115 Å, b = 6.115 Å, c = 6.120 Å
α = 100.05°, β = 100.05°, γ = 80.16°
Sites, in units of the cell vectors:
Li (0.000, 0.000, 0.000)
Li (0.000, 0.500, 0.500)
Li (0.500, 0.000, 0.500)
Ac (0.000, 0.500, 0.000)
Ac (0.500, 0.000, 0.000)
Ac (0.500, 0.500, 0.500)
Bi (0.000, 0.000, 0.500)
O (0.193, 0.759, 0.741)
O (0.241, 0.807, 0.259)
O (0.242, 0.242, 0.693)
O (0.273, 0.273, 0.226)
O (0.727, 0.727, 0.774)
O (0.758, 0.758, 0.307)
O (0.759, 0.193, 0.741)
O (0.807, 0.241, 0.259)

***

6.
Starting from a crystal structure in Alexandria, relaxed with PBE, the X-ray powder pattern of SrCuAs was calculated for Cu Ka.
Intensities are scaled so that the largest is 100.

Most intense lines, 2θ from 5° to 70°, by angle:
- 2θ 20.59, I 7
- 2θ 24.01, I 1
- 2θ 31.83, I 100
- 2θ 41.89, I 16
- 2θ 42.23, I 48
- 2θ 47.43, I 4
- 2θ 53.84, I 22
- 2θ 61.00, I 31

Structure:
a = 4.280 Å, b = 4.280 Å, c = 8.626 Å
α = 90.00°, β = 90.00°, γ = 120.00°
Sites, in units of the cell vectors:
Sr (0.000, 0.000, 0.000)
Sr (0.000, 0.000, 0.500)
Cu (0.333, 0.667, 0.250)
Cu (0.667, 0.333, 0.750)
As (0.333, 0.667, 0.750)
As (0.667, 0.333, 0.250)